[1]
# BaPrCu2As2
Calculated powder diffractogram, Cu Kα (λ = 1.5418 Å). Input: the PBE geometry in Alexandria.

```
BaPrCu2As2
1.0
4.242 0.000 0.000
-2.121 3.673 0.000
0.000 0.000 8.960
Ba Pr Cu As
1 1 2 2
direct
0.000 0.000 0.000
0.000 0.000 0.500
0.333 0.667 0.721
0.667 0.333 0.279
0.333 0.667 0.271
0.667 0.333 0.729
```

Largest 10 diffraction maxima, by angle, 10° ≤ 2θ ≤ 90°:
d = 3.673 Å, intensity 9
d = 2.841 Å, intensity 100
d = 2.240 Å, intensity 13
d = 2.121 Å, intensity 41
d = 1.699 Å, intensity 21
d = 1.540 Å, intensity 23
d = 1.383 Å, intensity 8
d = 1.326 Å, intensity 19
d = 1.224 Å, intensity 7
d = 1.159 Å, intensity 5

***

[2]
# Ba2Cu4SbAs3
Calculated powder diffractogram, Cu Kα (λ = 1.5418 Å). Input: the PBE geometry in Alexandria.

```
Ba2Cu4SbAs3
1.0
4.523 0.000 0.000
0.000 4.523 0.000
0.000 0.000 10.419
Ba Cu Sb As
2 4 1 3
direct
0.000 0.500 0.236
0.500 0.000 0.764
0.000 0.000 0.000
0.000 0.500 0.634
0.500 0.000 0.366
0.500 0.500 0.000
0.000 0.000 0.500
0.000 0.500 0.877
0.500 0.000 0.123
0.500 0.500 0.500
```

Largest 10 diffraction maxima, by angle, 10° ≤ 2θ ≤ 90°:
d = 2.755 Å, intensity 56
d = 2.725 Å, intensity 100
d = 2.261 Å, intensity 66
d = 2.020 Å, intensity 16
d = 1.893 Å, intensity 21
d = 1.748 Å, intensity 29
d = 1.599 Å, intensity 23
d = 1.526 Å, intensity 13
d = 1.451 Å, intensity 17
d = 1.379 Å, intensity 23

***

[3]
# BaZn2Cu2As3
Calculated powder diffractogram, Cu Kα (λ = 1.5418 Å). Input: the PBE geometry in Alexandria.

```
BaZn2Cu2As3
1.0
2.100 -6.361 0.000
2.100 6.361 0.000
0.000 0.000 12.275
Ba Zn Cu As
2 4 4 6
direct
0.178 0.822 0.750
0.822 0.178 0.250
0.170 0.830 0.058
0.170 0.830 0.442
0.830 0.170 0.558
0.830 0.170 0.942
0.454 0.546 0.645
0.454 0.546 0.855
0.546 0.454 0.145
0.546 0.454 0.355
0.096 0.904 0.250
0.378 0.622 0.045
0.378 0.622 0.455
0.622 0.378 0.545
0.622 0.378 0.955
0.904 0.096 0.750
```

Largest 10 diffraction maxima, by angle, 10° ≤ 2θ ≤ 90°:
d = 3.345 Å, intensity 42
d = 3.180 Å, intensity 33
d = 3.077 Å, intensity 66
d = 2.984 Å, intensity 68
d = 2.856 Å, intensity 100
d = 2.511 Å, intensity 35
d = 2.432 Å, intensity 41
d = 2.100 Å, intensity 68
d = 1.921 Å, intensity 53
d = 1.896 Å, intensity 46

***

[4]
# Ba2DyAs2O6
Calculated powder diffractogram, Cu Kα (λ = 1.5418 Å). Input: the PBE geometry in Alexandria.

```
Ba2DyAs2O6
1.0
6.493 -2.838 0.000
6.493 2.838 0.000
-3.026 0.000 5.800
Ba Dy As O
2 1 2 6
direct
0.235 0.235 0.232
0.765 0.765 0.768
0.000 0.000 0.500
0.492 0.492 0.193
0.508 0.508 0.807
0.171 0.171 0.807
0.180 0.653 0.657
0.347 0.820 0.343
0.653 0.180 0.657
0.820 0.347 0.343
0.829 0.829 0.193
```

Largest 10 diffraction maxima, by angle, 10° ≤ 2θ ≤ 90°:
d = 3.489 Å, intensity 86
d = 3.387 Å, intensity 100
d = 2.878 Å, intensity 35
d = 2.838 Å, intensity 39
d = 2.776 Å, intensity 20
d = 2.725 Å, intensity 27
d = 2.143 Å, intensity 15
d = 2.021 Å, intensity 32
d = 1.772 Å, intensity 15
d = 1.740 Å, intensity 13

***

[5]
# BaAs2F12
Calculated powder diffractogram, Cu Kα (λ = 1.5418 Å). Input: the PBE geometry in Alexandria.

```
BaAs2F12
1.0
10.231 0.000 0.000
0.000 10.231 0.000
0.000 0.000 10.231
Ba As F
4 8 48
direct
0.000 0.000 0.000
0.000 0.000 0.500
0.000 0.500 0.000
0.500 0.000 0.000
0.251 0.251 0.251
0.251 0.251 0.749
0.251 0.749 0.251
0.251 0.749 0.749
0.749 0.251 0.251
0.749 0.251 0.749
0.749 0.749 0.251
0.749 0.749 0.749
0.130 0.130 0.300
0.130 0.130 0.700
0.130 0.300 0.130
0.130 0.300 0.870
0.130 0.700 0.130
0.130 0.700 0.870
0.130 0.870 0.300
0.130 0.870 0.700
0.184 0.361 0.361
0.184 0.361 0.639
0.184 0.639 0.361
0.184 0.639 0.639
0.300 0.130 0.130
0.300 0.130 0.870
0.300 0.870 0.130
0.300 0.870 0.870
0.361 0.184 0.361
0.361 0.184 0.639
0.361 0.361 0.184
0.361 0.361 0.816
0.361 0.639 0.184
0.361 0.639 0.816
0.361 0.816 0.361
0.361 0.816 0.639
0.639 0.184 0.361
0.639 0.184 0.639
0.639 0.361 0.184
0.639 0.361 0.816
0.639 0.639 0.184
0.639 0.639 0.816
0.639 0.816 0.361
0.639 0.816 0.639
0.700 0.130 0.130
0.700 0.130 0.870
0.700 0.870 0.130
0.700 0.870 0.870
0.816 0.361 0.361
0.816 0.361 0.639
0.816 0.639 0.361
0.816 0.639 0.639
0.870 0.130 0.300
0.870 0.130 0.700
0.870 0.300 0.130
0.870 0.300 0.870
0.870 0.700 0.130
0.870 0.700 0.870
0.870 0.870 0.300
0.870 0.870 0.700
```

Largest 10 diffraction maxima, by angle, 10° ≤ 2θ ≤ 90°:
d = 5.907 Å, intensity 9
d = 5.115 Å, intensity 15
d = 4.575 Å, intensity 15
d = 3.617 Å, intensity 100
d = 3.410 Å, intensity 10
d = 2.088 Å, intensity 36
d = 1.809 Å, intensity 17
d = 1.618 Å, intensity 14
d = 1.367 Å, intensity 22
d = 1.206 Å, intensity 11

***

[6]
# BaAsIrF
Calculated powder diffractogram, Cu Kα (λ = 1.5418 Å). Input: the PBE geometry in Alexandria.

```
BaAsIrF
1.0
4.177 0.000 0.000
0.000 4.177 0.000
0.000 0.000 9.606
Ba As Ir F
2 2 2 2
direct
0.250 0.250 0.170
0.750 0.750 0.830
0.250 0.250 0.644
0.750 0.750 0.356
0.250 0.750 0.500
0.750 0.250 0.500
0.250 0.750 0.000
0.750 0.250 0.000
```

Largest 10 diffraction maxima, by angle, 10° ≤ 2θ ≤ 90°:
d = 4.803 Å, intensity 21
d = 3.202 Å, intensity 28
d = 3.152 Å, intensity 73
d = 2.823 Å, intensity 53
d = 2.516 Å, intensity 100
d = 2.088 Å, intensity 57
d = 1.863 Å, intensity 52
d = 1.741 Å, intensity 26
d = 1.274 Å, intensity 23
d = 1.157 Å, intensity 22